Computed X-ray powder pattern of Li2Zn2Pd3 for CuKα, from a structure optimized by DFT (GGA-PBE).
Neutral-atom scattering factors, no anomalous dispersion.

Main lines, by intensity (10° ≤ 2θ ≤ 90°):
2theta	Rel. int.	index
14.53	100	0 0 1
39.64	97	3 1 -1
40.26	59	4 0 1
46.72	54	1 1 2
41.25	39	2 0 -3
46.84	30	6 0 -2
27.65	25	2 0 -2
37.39	21	1 1 1
67.62	21	7 1 0
69.01	18	5 1 -4
32.10	15	4 0 0
44.52	12	3 1 -2

abc: 12.0144 2.8061 6.5654
angles: 90.00 111.82 90.00
Space group C2/m (No. 12)
Unique sites:
Li1 0.1364 0.0000 0.4215 (multiplicity 4)
Zn1 0.0812 0.5000 0.7388 (multiplicity 4)
Pd1 0.0000 0.0000 0.0000 (multiplicity 2)
Pd2 0.2220 0.5000 0.1683 (multiplicity 4)

=====

Computed X-ray powder pattern of Sc3Ga5Co for CuKα, from a structure optimized by DFT (GGA-PBE).
Neutral-atom scattering factors, no anomalous dispersion.

Main lines, by intensity (10° ≤ 2θ ≤ 90°):
2theta	Rel. int.	index
38.93	100	1 2 2
37.31	95	1 4 0
43.76	68	2 0 0
35.74	57	1 0 2
47.43	52	1 4 2
34.43	48	1 3 1
41.76	47	0 4 2
21.48	30	1 0 0
62.09	27	2 4 2
49.11	25	1 1 3
75.58	21	1 7 3
40.62	21	0 5 1

abc: 4.1372 11.8610 6.3243
angles: 90.00 90.00 90.00
Space group Amm2 (No. 38)
Unique sites:
Sc1 0.0000 0.0000 0.0000 (multiplicity 2)
Sc2 0.0000 0.2177 0.6614 (multiplicity 4)
Ga1 0.0000 0.0000 0.4923 (multiplicity 2)
Ga2 0.5000 0.1288 0.3550 (multiplicity 4)
Ga3 0.5000 0.1541 0.9419 (multiplicity 4)
Co1 0.5000 0.0000 0.6833 (multiplicity 2)

=====

Computed X-ray powder pattern of NaScF5 for CuKα, from a structure optimized by DFT (GGA-PBE).
Neutral-atom scattering factors, no anomalous dispersion.

Main lines, by intensity (10° ≤ 2θ ≤ 90°):
2theta	Rel. int.	index
25.22	100	0 2 0
22.30	93	2 0 0
34.88	57	0 2 1
27.44	44	1 1 -1
45.50	41	4 0 0
45.82	39	1 3 -1
16.77	22	1 1 0
48.50	21	0 0 2
52.73	21	4 2 0
49.81	17	2 0 -2
60.66	14	3 3 1
51.77	12	0 4 0

abc: 8.1075 7.0633 3.8172
angles: 90.00 100.42 90.00
Space group C2/m (No. 12)
Unique sites:
Na1 0.0000 0.0000 0.0000 (multiplicity 2)
Sc1 0.0000 0.5000 0.5000 (multiplicity 2)
F1 0.0000 0.0000 0.5000 (multiplicity 2)
F2 0.0000 0.3312 0.0000 (multiplicity 4)
F3 0.2455 0.5000 0.6157 (multiplicity 4)

=====

Copy entry 3 word for word.
Computed X-ray powder pattern of NaScF5 for CuKα, from a structure optimized by DFT (GGA-PBE).
Neutral-atom scattering factors, no anomalous dispersion.

Main lines, by intensity (10° ≤ 2θ ≤ 90°):
2theta	Rel. int.	index
25.22	100	0 2 0
22.30	93	2 0 0
34.88	57	0 2 1
27.44	44	1 1 -1
45.50	41	4 0 0
45.82	39	1 3 -1
16.77	22	1 1 0
48.50	21	0 0 2
52.73	21	4 2 0
49.81	17	2 0 -2
60.66	14	3 3 1
51.77	12	0 4 0

abc: 8.1075 7.0633 3.8172
angles: 90.00 100.42 90.00
Space group C2/m (No. 12)
Unique sites:
Na1 0.0000 0.0000 0.0000 (multiplicity 2)
Sc1 0.0000 0.5000 0.5000 (multiplicity 2)
F1 0.0000 0.0000 0.5000 (multiplicity 2)
F2 0.0000 0.3312 0.0000 (multiplicity 4)
F3 0.2455 0.5000 0.6157 (multiplicity 4)

=====

Repeat the third record exactly.
Computed X-ray powder pattern of NaScF5 for CuKα, from a structure optimized by DFT (GGA-PBE).
Neutral-atom scattering factors, no anomalous dispersion.

Main lines, by intensity (10° ≤ 2θ ≤ 90°):
2theta	Rel. int.	index
25.22	100	0 2 0
22.30	93	2 0 0
34.88	57	0 2 1
27.44	44	1 1 -1
45.50	41	4 0 0
45.82	39	1 3 -1
16.77	22	1 1 0
48.50	21	0 0 2
52.73	21	4 2 0
49.81	17	2 0 -2
60.66	14	3 3 1
51.77	12	0 4 0

abc: 8.1075 7.0633 3.8172
angles: 90.00 100.42 90.00
Space group C2/m (No. 12)
Unique sites:
Na1 0.0000 0.0000 0.0000 (multiplicity 2)
Sc1 0.0000 0.5000 0.5000 (multiplicity 2)
F1 0.0000 0.0000 0.5000 (multiplicity 2)
F2 0.0000 0.3312 0.0000 (multiplicity 4)
F3 0.2455 0.5000 0.6157 (multiplicity 4)

=====

Q: What is the formula in the third record?
A: NaScF5